Record 1
Starting from a cell relaxed with PBE, the PXRD pattern of Ba2LiTbSnO6 was simulated for Cu Kα (weighted mean of Kα1 and Kα2).
Peak positions follow from Bragg's law for the DFT cell and can differ from measured ones.

Top 12 peaks for 10° ≤ 2θ ≤ 90°, sorted by position:
20.24 deg, d 4.388, rel. 18.8; 27.75 deg, d 3.215, rel. 80.6; 29.77 deg, d 3.001, rel. 100.0; 32.33 deg, d 2.769, rel. 11.5; 41.15 deg, d 2.194, rel. 46.9; 44.91 deg, d 2.018, rel. 29.5; 51.60 deg, d 1.771, rel. 29.8; 52.83 deg, d 1.733, rel. 20.6; 59.44 deg, d 1.555, rel. 11.4; 61.82 deg, d 1.501, rel. 18.7; 69.07 deg, d 1.360, rel. 13.0; 85.62 deg, d 1.134, rel. 11.1

Crystal structure
```
data_Ba2LiTbSnO6
_cell_length_a 6.002
_cell_length_b 6.002
_cell_length_c 6.462
_cell_angle_alpha 117.67
_cell_angle_beta 117.67
_cell_angle_gamma 60.02
_symmetry_space_group_name_H-M 'P 1'
_symmetry_Int_Tables_number 1
loop_
_symmetry_equiv_pos_as_xyz
'x,y,z'
loop_
_atom_site_label
_atom_site_type_symbol
_atom_site_fract_x
_atom_site_fract_y
_atom_site_fract_z
Ba1 Ba 0.000 0.000 0.000
Ba2 Ba 0.529 0.529 0.586
Li1 Li 0.161 0.161 0.484
Tb1 Tb 0.311 0.311 0.933
Sn1 Sn 0.792 0.792 0.376
O1 O 0.038 0.545 0.622
O2 O 0.039 0.039 0.623
O3 O 0.046 0.558 0.158
O4 O 0.545 0.038 0.622
O5 O 0.557 0.557 0.154
O6 O 0.558 0.046 0.158
```

=====

Record 2
Starting from a cell relaxed with PBE, the PXRD pattern of Ba2LiTbSnO6 was simulated for Cu Kα (weighted mean of Kα1 and Kα2).
Peak positions follow from Bragg's law for the DFT cell and can differ from measured ones.

Top 12 peaks for 10° ≤ 2θ ≤ 90°, sorted by position:
27.74 deg, d 3.215, rel. 85.7; 29.65 deg, d 3.013, rel. 100.0; 32.34 deg, d 2.768, rel. 20.3; 41.05 deg, d 2.199, rel. 49.7; 44.88 deg, d 2.020, rel. 12.1; 51.45 deg, d 1.776, rel. 31.8; 52.61 deg, d 1.740, rel. 21.8; 57.31 deg, d 1.608, rel. 9.3; 59.47 deg, d 1.554, rel. 16.2; 61.56 deg, d 1.507, rel. 19.9; 68.82 deg, d 1.364, rel. 13.9; 85.21 deg, d 1.139, rel. 11.6

Crystal structure
```
data_Ba2LiTbSnO6
_cell_length_a 6.025
_cell_length_b 6.025
_cell_length_c 6.456
_cell_angle_alpha 117.74
_cell_angle_beta 117.74
_cell_angle_gamma 60.05
_symmetry_space_group_name_H-M 'P 1'
_symmetry_Int_Tables_number 1
loop_
_symmetry_equiv_pos_as_xyz
'x,y,z'
loop_
_atom_site_label
_atom_site_type_symbol
_atom_site_fract_x
_atom_site_fract_y
_atom_site_fract_z
Ba1 Ba 0.000 0.000 0.000
Ba2 Ba 0.545 0.545 0.634
Li1 Li 0.382 0.382 0.149
Tb1 Tb 0.758 0.758 0.275
Sn1 Sn 0.239 0.239 0.717
O1 O 0.008 0.008 0.516
O2 O 0.008 0.501 0.517
O3 O 0.010 0.489 0.989
O4 O 0.489 0.010 0.989
O5 O 0.489 0.489 0.990
O6 O 0.501 0.008 0.517
```

=====

Record 3
Starting from a cell relaxed with PBE, the PXRD pattern of Ba2LiTbSnO6 was simulated for Cu Kα (weighted mean of Kα1 and Kα2).
Peak positions follow from Bragg's law for the DFT cell and can differ from measured ones.

Top 12 peaks for 10° ≤ 2θ ≤ 90°, sorted by position:
28.60 deg, d 3.121, rel. 100.0; 29.48 deg, d 3.030, rel. 27.7; 29.63 deg, d 3.015, rel. 27.2; 32.93 deg, d 2.720, rel. 11.7; 39.44 deg, d 2.284, rel. 13.0; 42.29 deg, d 2.137, rel. 32.3; 50.05 deg, d 1.822, rel. 15.2; 51.75 deg, d 1.766, rel. 19.9; 51.94 deg, d 1.760, rel. 19.7; 59.20 deg, d 1.561, rel. 14.9; 61.20 deg, d 1.514, rel. 11.6; 69.05 deg, d 1.360, rel. 10.2

Crystal structure
```
data_Ba2LiTbSnO6
_cell_length_a 6.257
_cell_length_b 6.257
_cell_length_c 6.257
_cell_angle_alpha 122.38
_cell_angle_beta 122.07
_cell_angle_gamma 86.19
_symmetry_space_group_name_H-M 'P 1'
_symmetry_Int_Tables_number 1
loop_
_symmetry_equiv_pos_as_xyz
'x,y,z'
loop_
_atom_site_label
_atom_site_type_symbol
_atom_site_fract_x
_atom_site_fract_y
_atom_site_fract_z
Ba1 Ba 0.210 0.210 0.000
Ba2 Ba 0.790 0.790 0.000
Li1 Li 0.500 0.500 0.000
Tb1 Tb 0.000 0.500 0.500
Sn1 Sn 0.500 0.000 0.500
O1 O 0.260 0.760 0.500
O2 O 0.266 0.250 0.516
O3 O 0.266 0.750 0.017
O4 O 0.734 0.250 0.983
O5 O 0.734 0.750 0.484
O6 O 0.740 0.240 0.500
```

=====

Record 4
Starting from a cell relaxed with PBE, the PXRD pattern of Ba5Li2U3O15 was simulated for Cu Kα (weighted mean of Kα1 and Kα2).
Peak positions follow from Bragg's law for the DFT cell and can differ from measured ones.

Top 12 peaks for 10° ≤ 2θ ≤ 90°, sorted by position:
17.81 deg, d 4.981, rel. 31.0; 29.28 deg, d 3.050, rel. 100.0; 34.48 deg, d 2.601, rel. 16.3; 41.79 deg, d 2.162, rel. 9.9; 41.93 deg, d 2.155, rel. 19.2; 45.84 deg, d 1.979, rel. 7.4; 51.92 deg, d 1.761, rel. 40.1; 60.69 deg, d 1.526, rel. 12.1; 68.68 deg, d 1.367, rel. 6.1; 68.89 deg, d 1.363, rel. 11.4; 83.82 deg, d 1.154, rel. 7.0; 83.98 deg, d 1.152, rel. 13.3

Crystal structure
```
data_Ba5Li2U3O15
_cell_length_a 10.561
_cell_length_b 10.561
_cell_length_c 10.561
_cell_angle_alpha 99.65
_cell_angle_beta 99.65
_cell_angle_gamma 131.67
_symmetry_space_group_name_H-M 'P 1'
_symmetry_Int_Tables_number 1
loop_
_symmetry_equiv_pos_as_xyz
'x,y,z'
loop_
_atom_site_label
_atom_site_type_symbol
_atom_site_fract_x
_atom_site_fract_y
_atom_site_fract_z
Ba1 Ba 0.026 0.343 0.892
Ba2 Ba 0.134 0.026 0.682
Ba3 Ba 0.250 0.750 0.500
Ba4 Ba 0.343 0.452 0.318
Ba5 Ba 0.452 0.134 0.108
Ba6 Ba 0.548 0.866 0.892
Ba7 Ba 0.657 0.548 0.682
Ba8 Ba 0.750 0.250 0.500
Ba9 Ba 0.866 0.974 0.318
Ba10 Ba 0.974 0.657 0.108
Li1 Li 0.098 0.697 0.795
Li2 Li 0.303 0.098 0.400
Li3 Li 0.697 0.902 0.600
Li4 Li 0.902 0.303 0.205
U1 U 0.000 0.000 0.000
U2 U 0.199 0.401 0.600
U3 U 0.401 0.801 0.202
U4 U 0.500 0.500 0.000
U5 U 0.599 0.199 0.798
U6 U 0.801 0.599 0.400
O1 O 0.036 0.838 0.400
O2 O 0.048 0.860 0.908
O3 O 0.053 0.349 0.402
O4 O 0.140 0.048 0.188
O5 O 0.155 0.544 0.699
O6 O 0.162 0.562 0.198
O7 O 0.247 0.257 0.504
O8 O 0.257 0.753 0.011
O9 O 0.262 0.262 0.000
O10 O 0.349 0.947 0.296
O11 O 0.356 0.452 0.808
O12 O 0.364 0.964 0.802
O13 O 0.438 0.636 0.600
O14 O 0.452 0.644 0.096
O15 O 0.456 0.155 0.610
O16 O 0.544 0.845 0.390
O17 O 0.548 0.356 0.904
O18 O 0.562 0.364 0.400
O19 O 0.636 0.036 0.198
O20 O 0.644 0.548 0.192
O21 O 0.651 0.053 0.704
O22 O 0.738 0.738 0.000
O23 O 0.743 0.247 0.989
O24 O 0.753 0.743 0.496
O25 O 0.838 0.438 0.802
O26 O 0.845 0.456 0.301
O27 O 0.860 0.952 0.812
O28 O 0.947 0.651 0.598
O29 O 0.952 0.140 0.092
O30 O 0.964 0.162 0.600
```

=====

Record 5
Starting from a cell relaxed with PBE, the PXRD pattern of BaLiZrO3 was simulated for Cu Kα (weighted mean of Kα1 and Kα2).
Peak positions follow from Bragg's law for the DFT cell and can differ from measured ones.

Top 12 peaks for 10° ≤ 2θ ≤ 90°, sorted by position:
27.72 deg, d 3.219, rel. 100.0; 30.23 deg, d 2.956, rel. 44.2; 35.19 deg, d 2.550, rel. 9.0; 35.61 deg, d 2.521, rel. 24.5; 43.28 deg, d 2.091, rel. 27.5; 47.39 deg, d 1.918, rel. 25.4; 52.17 deg, d 1.753, rel. 34.6; 57.25 deg, d 1.609, rel. 22.8; 59.25 deg, d 1.560, rel. 11.9; 74.39 deg, d 1.275, rel. 10.1; 76.15 deg, d 1.250, rel. 11.6; 82.35 deg, d 1.171, rel. 10.4

Crystal structure
```
data_BaLiZrO3
_cell_length_a 4.181
_cell_length_b 4.181
_cell_length_c 5.043
_cell_angle_alpha 90.00
_cell_angle_beta 90.00
_cell_angle_gamma 90.00
_symmetry_space_group_name_H-M 'P 1'
_symmetry_Int_Tables_number 1
loop_
_symmetry_equiv_pos_as_xyz
'x,y,z'
loop_
_atom_site_label
_atom_site_type_symbol
_atom_site_fract_x
_atom_site_fract_y
_atom_site_fract_z
Ba1 Ba 0.000 0.000 0.000
Li1 Li 0.000 0.000 0.500
Zr1 Zr 0.500 0.500 0.500
O1 O 0.000 0.500 0.500
O2 O 0.500 0.000 0.500
O3 O 0.500 0.500 0.000
```

=====

Record 6
Starting from a cell relaxed with PBE, the PXRD pattern of BaLiZrO3 was simulated for Cu Kα (weighted mean of Kα1 and Kα2).
Peak positions follow from Bragg's law for the DFT cell and can differ from measured ones.

Top 12 peaks for 10° ≤ 2θ ≤ 90°, sorted by position:
20.24 deg, d 4.388, rel. 34.7; 26.98 deg, d 3.305, rel. 76.9; 30.46 deg, d 2.934, rel. 100.0; 30.84 deg, d 2.900, rel. 20.1; 41.14 deg, d 2.194, rel. 42.3; 43.90 deg, d 2.062, rel. 69.1; 52.04 deg, d 1.757, rel. 24.3; 54.14 deg, d 1.694, rel. 19.8; 55.86 deg, d 1.646, rel. 20.9; 63.40 deg, d 1.467, rel. 19.0; 63.61 deg, d 1.463, rel. 22.3; 73.43 deg, d 1.290, rel. 18.2

Crystal structure
```
data_BaLiZrO3
_cell_length_a 4.460
_cell_length_b 4.460
_cell_length_c 4.460
_cell_angle_alpha 82.29
_cell_angle_beta 82.29
_cell_angle_gamma 82.29
_symmetry_space_group_name_H-M 'P 1'
_symmetry_Int_Tables_number 1
loop_
_symmetry_equiv_pos_as_xyz
'x,y,z'
loop_
_atom_site_label
_atom_site_type_symbol
_atom_site_fract_x
_atom_site_fract_y
_atom_site_fract_z
Ba1 Ba 0.000 0.000 0.000
Li1 Li 0.674 0.674 0.674
Zr1 Zr 0.391 0.391 0.391
O1 O 0.404 0.404 0.895
O2 O 0.404 0.895 0.404
O3 O 0.895 0.404 0.404
```

=====

Record 7
Starting from a cell relaxed with PBE, the PXRD pattern of BaLiP was simulated for Cu Kα (weighted mean of Kα1 and Kα2).
Peak positions follow from Bragg's law for the DFT cell and can differ from measured ones.

Top 12 peaks for 10° ≤ 2θ ≤ 90°, sorted by position:
19.61 deg, d 4.527, rel. 18.6; 23.17 deg, d 3.840, rel. 57.8; 30.53 deg, d 2.928, rel. 100.0; 39.83 deg, d 2.263, rel. 9.7; 40.70 deg, d 2.217, rel. 27.4; 45.56 deg, d 1.991, rel. 13.3; 46.58 deg, d 1.950, rel. 18.0; 47.35 deg, d 1.920, rel. 8.6; 51.72 deg, d 1.767, rel. 22.0; 58.26 deg, d 1.584, rel. 18.8; 66.59 deg, d 1.404, rel. 10.4; 67.82 deg, d 1.382, rel. 19.7

Crystal structure
```
data_BaLiP
_cell_length_a 4.433
_cell_length_b 4.433
_cell_length_c 4.527
_cell_angle_alpha 90.00
_cell_angle_beta 90.00
_cell_angle_gamma 120.00
_symmetry_space_group_name_H-M 'P 1'
_symmetry_Int_Tables_number 1
loop_
_symmetry_equiv_pos_as_xyz
'x,y,z'
loop_
_atom_site_label
_atom_site_type_symbol
_atom_site_fract_x
_atom_site_fract_y
_atom_site_fract_z
Ba1 Ba 0.000 0.000 0.000
Li1 Li 0.333 0.667 0.500
P1 P 0.667 0.333 0.500
```

=====

Record 8
Starting from a cell relaxed with PBE, the PXRD pattern of BaLiP was simulated for Cu Kα (weighted mean of Kα1 and Kα2).
Peak positions follow from Bragg's law for the DFT cell and can differ from measured ones.

Top 12 peaks for 10° ≤ 2θ ≤ 90°, sorted by position:
20.29 deg, d 4.377, rel. 17.7; 22.66 deg, d 3.924, rel. 60.0; 30.60 deg, d 2.922, rel. 100.0; 39.79 deg, d 2.266, rel. 30.1; 45.06 deg, d 2.012, rel. 14.1; 46.27 deg, d 1.962, rel. 9.1; 47.57 deg, d 1.912, rel. 17.4; 51.01 deg, d 1.790, rel. 23.2; 58.65 deg, d 1.574, rel. 19.0; 66.57 deg, d 1.405, rel. 21.0; 68.62 deg, d 1.368, rel. 9.6; 77.81 deg, d 1.228, rel. 11.0

Crystal structure
```
data_BaLiP
_cell_length_a 4.531
_cell_length_b 4.531
_cell_length_c 8.755
_cell_angle_alpha 90.00
_cell_angle_beta 90.00
_cell_angle_gamma 120.00
_symmetry_space_group_name_H-M 'P 1'
_symmetry_Int_Tables_number 1
loop_
_symmetry_equiv_pos_as_xyz
'x,y,z'
loop_
_atom_site_label
_atom_site_type_symbol
_atom_site_fract_x
_atom_site_fract_y
_atom_site_fract_z
Ba1 Ba 0.000 0.000 0.000
Ba2 Ba 0.000 0.000 0.500
Li1 Li 0.333 0.667 0.250
Li2 Li 0.667 0.333 0.750
P1 P 0.333 0.667 0.750
P2 P 0.667 0.333 0.250
```